Structure and theoretical powder XRD pattern of Sb3Pd8 (the GGA-PBE geometry in the Materials Project; CuKα).
Peak positions follow from Bragg's law for the DFT cell and can differ from measured ones.

Main lines, sorted by position (2θ from 10° to 90°):
two_theta, intensity, h k l
35.57, 147, 3 -1 1
38.73, 925, 1 1 15
39.50, 200, 2 0 14
40.45, 1000, 3 0 0
44.07, 152, 2 -1 18
46.22, 166, 3 -2 14
57.24, 146, 4 -2 15
72.42, 112, 4 1 15
76.09, 130, 5 -1 18
78.45, 109, 3 0 30

Crystal structure
```
data_Sb3Pd8
_space_group_name_H-M_alt 'R 3'
_space_group_IT_number 146
_space_group_name_Hall 'R 3'
_cell_length_a 7.7240
_cell_length_b 7.7240
_cell_length_c 43.6796
_cell_angle_alpha 90.00
_cell_angle_beta 90.00
_cell_angle_gamma 120.00
loop_
_atom_site_label
_atom_site_fract_x
_atom_site_fract_y
_atom_site_fract_z
_atom_site_occupancy
Sb1 0.0000 0.0000 0.0000 1
Sb2 0.0000 0.0000 0.1523 1
Sb3 0.0000 0.0000 0.3143 1
Sb4 0.0000 0.0000 0.5000 1
Sb5 0.0000 0.0000 0.6546 1
Sb6 0.0000 0.0000 0.8128 1
Sb7 0.0059 0.3191 0.9056 1
Sb8 0.0057 0.6843 0.4065 1
Pd1 0.0000 0.0000 0.0910 1
Pd2 0.0000 0.0000 0.2149 1
Pd3 0.0000 0.0000 0.3752 1
Pd4 0.0000 0.0000 0.4386 1
Pd5 0.0000 0.0000 0.5936 1
Pd6 0.0000 0.0000 0.7180 1
Pd7 0.0000 0.0000 0.8734 1
Pd8 0.0000 0.0000 0.9376 1
Pd9 0.0003 0.7395 0.5420 1
Pd10 0.0010 0.2650 0.0414 1
Pd11 0.0023 0.6359 0.0077 1
Pd12 0.0047 0.2743 0.7718 1
Pd13 0.0058 0.7496 0.2708 1
Pd14 0.0263 0.6814 0.1395 1
Pd15 0.0287 0.3346 0.8405 1
Pd16 0.0316 0.3454 0.6397 1
```

Structure and theoretical powder XRD pattern of SbPd3 (the GGA-PBE geometry in the Materials Project; CuKα).
Peak positions follow from Bragg's law for the DFT cell and can differ from measured ones.

Main lines, sorted by position (2θ from 10° to 90°):
two_theta, intensity, h k l
36.06, 241, 2 0 0
38.65, 265, 0 0 2
41.09, 1000, 2 0 1
53.88, 149, 2 0 2
64.83, 168, 2 2 0
71.60, 187, 2 0 3
78.09, 196, 2 2 2
79.69, 139, 4 0 1
82.88, 28, 0 0 4
89.15, 36, 4 0 2

Crystal structure
```
data_SbPd3
_space_group_name_H-M_alt 'P 63/m m c'
_space_group_IT_number 194
_space_group_name_Hall '-P 6c 2c'
_cell_length_a 5.7527
_cell_length_b 5.7527
_cell_length_c 4.6595
_cell_angle_alpha 90.00
_cell_angle_beta 90.00
_cell_angle_gamma 120.00
loop_
_atom_site_label
_atom_site_fract_x
_atom_site_fract_y
_atom_site_fract_z
_atom_site_occupancy
Sb1 0.3333 0.6667 0.2500 1
Pd1 0.1671 0.3342 0.7500 1
```

Structure and theoretical powder XRD pattern of Sb3Pd8 (the GGA-PBE geometry in the Materials Project; CuKα).
Peak positions follow from Bragg's law for the DFT cell and can differ from measured ones.

Main lines, sorted by position (2θ from 10° to 90°):
two_theta, intensity, h k l
30.82, 83, 0 1 14
35.19, 123, 2 1 1
37.81, 737, 1 1 15
38.65, 109, 2 0 14
40.03, 1000, 3 0 0
41.74, 153, 0 2 16
42.94, 196, 1 1 18
56.23, 149, 2 2 15
71.24, 101, 1 4 15
72.71, 108, 3 3 0

Crystal structure
```
data_Sb3Pd8
_space_group_name_H-M_alt 'R 3 c'
_space_group_IT_number 161
_space_group_name_Hall 'R 3 -2"c'
_cell_length_a 7.8029
_cell_length_b 7.8029
_cell_length_c 45.0431
_cell_angle_alpha 90.00
_cell_angle_beta 90.00
_cell_angle_gamma 120.00
loop_
_atom_site_label
_atom_site_fract_x
_atom_site_fract_y
_atom_site_fract_z
_atom_site_occupancy
Sb1 0.0000 0.0000 0.0000 1
Sb2 0.0000 0.0000 0.1306 1
Sb3 0.0000 0.0000 0.2764 1
Sb4 0.0104 0.4013 0.0201 1
Pd1 0.0000 0.0000 0.0734 1
Pd2 0.0000 0.0000 0.2163 1
Pd3 0.0000 0.0000 0.3843 1
Pd4 0.0000 0.0000 0.4443 1
Pd5 0.0029 0.3570 0.0798 1
Pd6 0.0214 0.3517 0.2723 1
Pd7 0.0293 0.3559 0.4764 1
Pd8 0.0571 0.3860 0.2049 1
```

Structure and theoretical powder XRD pattern of Sb2Pd5 (the GGA-PBE geometry in the Materials Project; CuKα).
Peak positions follow from Bragg's law for the DFT cell and can differ from measured ones.

Main lines, sorted by position (2θ from 10° to 90°):
two_theta, intensity, h k l
36.02, 153, 2 1 1
37.01, 238, 2 0 4
39.54, 873, 1 1 5
40.38, 1000, 3 0 0
44.02, 137, 2 1 4
45.13, 117, 1 1 6
57.79, 182, 2 2 5
66.31, 160, 0 0 10
72.85, 133, 4 1 5
80.55, 104, 3 0 10

Crystal structure
```
data_Sb2Pd5
_space_group_name_H-M_alt 'P 63 c m'
_space_group_IT_number 185
_space_group_name_Hall 'P 6c -2'
_cell_length_a 7.7387
_cell_length_b 7.7387
_cell_length_c 14.1034
_cell_angle_alpha 90.00
_cell_angle_beta 90.00
_cell_angle_gamma 120.00
loop_
_atom_site_label
_atom_site_fract_x
_atom_site_fract_y
_atom_site_fract_z
_atom_site_occupancy
Sb1 0.0000 0.0000 0.0000 1
Sb2 0.0000 0.3326 0.2747 1
Sb3 0.3333 0.6667 0.0494 1
Pd1 0.0000 0.0000 0.2031 1
Pd2 0.0000 0.2629 0.8720 1
Pd3 0.0000 0.3083 0.0797 1
Pd4 0.0000 0.3719 0.4706 1
Pd5 0.0000 0.3722 0.6801 1
Pd6 0.3333 0.6667 0.3472 1
```

Structure and theoretical powder XRD pattern of SbPd6Se (the GGA-PBE geometry in the Materials Project; CuKα).
Peak positions follow from Bragg's law for the DFT cell and can differ from measured ones.

Main lines, sorted by position (2θ from 10° to 90°):
two_theta, intensity, h k l
11.94, 7, 0 0 3
39.72, 1000, 1 1 0
57.42, 166, 2 0 8
72.08, 332, 3 0 0
85.59, 106, 2 2 0

Crystal structure
```
data_SbPd6Se
_space_group_name_H-M_alt 'R -3 m'
_space_group_IT_number 166
_space_group_name_Hall '-R 3 2"'
_cell_length_a 4.5390
_cell_length_b 4.5390
_cell_length_c 22.2333
_cell_angle_alpha 90.00
_cell_angle_beta 90.00
_cell_angle_gamma 120.00
loop_
_atom_site_label
_atom_site_fract_x
_atom_site_fract_y
_atom_site_fract_z
_atom_site_occupancy
Sb1 0.0000 0.0000 0.0000 1
Pd1 0.0000 0.0000 0.1261 1
Pd2 0.0000 0.0000 0.2513 1
Pd3 0.0000 0.0000 0.3761 1
Se1 0.0000 0.0000 0.5000 1
```

Structure and theoretical powder XRD pattern of SmSbPd (the GGA-PBE geometry in the Materials Project; CuKα).
Peak positions follow from Bragg's law for the DFT cell and can differ from measured ones.

Main lines, sorted by position (2θ from 10° to 90°):
two_theta, intensity, h k l
24.38, 140, 1 0 1
33.18, 1000, 1 0 2
36.26, 964, 1 1 0
44.45, 182, 0 1 3
49.96, 314, 0 2 2
63.28, 307, 2 1 2
65.24, 170, 3 0 0
65.64, 123, 1 1 4
76.99, 105, 2 2 0
86.44, 132, 1 3 2

Crystal structure
```
data_SmSbPd
_space_group_name_H-M_alt 'P -3 m 1'
_space_group_IT_number 164
_space_group_name_Hall '-P 3 2"'
_cell_length_a 4.9543
_cell_length_b 4.9543
_cell_length_c 6.9493
_cell_angle_alpha 90.00
_cell_angle_beta 90.00
_cell_angle_gamma 120.00
loop_
_atom_site_label
_atom_site_fract_x
_atom_site_fract_y
_atom_site_fract_z
_atom_site_occupancy
Sm1 0.0000 0.0000 0.2306 1
Sb1 0.3333 0.6667 0.5427 1
Pd1 0.3333 0.6667 0.9524 1
```

Structure and theoretical powder XRD pattern of SmSbPd (the GGA-PBE geometry in the Materials Project; CuKα).
Peak positions follow from Bragg's law for the DFT cell and can differ from measured ones.

Main lines, sorted by position (2θ from 10° to 90°):
two_theta, intensity, h k l
25.03, 128, 1 0 1
32.43, 1000, 1 0 2
38.72, 763, 1 1 0
42.20, 210, 1 0 3
51.37, 272, 2 0 2
63.28, 120, 1 1 4
65.79, 85, 1 0 5
66.14, 252, 2 1 2
70.08, 130, 3 0 0
83.06, 83, 2 2 0

Crystal structure
```
data_SmSbPd
_space_group_name_H-M_alt 'P 63 m c'
_space_group_IT_number 186
_space_group_name_Hall 'P 6c -2c'
_cell_length_a 4.6512
_cell_length_b 4.6512
_cell_length_c 7.5844
_cell_angle_alpha 90.00
_cell_angle_beta 90.00
_cell_angle_gamma 120.00
loop_
_atom_site_label
_atom_site_fract_x
_atom_site_fract_y
_atom_site_fract_z
_atom_site_occupancy
Sm1 0.0000 0.0000 0.0000 1
Sb1 0.3333 0.6667 0.2258 1
Pd1 0.3333 0.6667 0.8245 1
```

Structure and theoretical powder XRD pattern of SmSbPd (the GGA-PBE geometry in the Materials Project; CuKα).
Peak positions follow from Bragg's law for the DFT cell and can differ from measured ones.

Main lines, sorted by position (2θ from 10° to 90°):
two_theta, intensity, h k l
32.02, 1000, 1 0 2
39.19, 592, 1 1 0
46.27, 122, 0 0 4
51.48, 261, 2 0 2
62.21, 300, 1 1 4
66.56, 239, 2 1 2
71.03, 101, 3 0 0
76.68, 80, 1 0 6
84.26, 64, 2 2 0
89.06, 115, 3 0 4

Crystal structure
```
data_SmSbPd
_space_group_name_H-M_alt 'P 63/m m c'
_space_group_IT_number 194
_space_group_name_Hall '-P 6c 2c'
_cell_length_a 4.5971
_cell_length_b 4.5971
_cell_length_c 7.8488
_cell_angle_alpha 90.00
_cell_angle_beta 90.00
_cell_angle_gamma 120.00
loop_
_atom_site_label
_atom_site_fract_x
_atom_site_fract_y
_atom_site_fract_z
_atom_site_occupancy
Sm1 0.0000 0.0000 0.0000 1
Sb1 0.3333 0.6667 0.2500 1
Pd1 0.3333 0.6667 0.7500 1
```

Structure and theoretical powder XRD pattern of Tb5SbPd2 (the GGA-PBE geometry in the Materials Project; CuKα).
Peak positions follow from Bragg's law for the DFT cell and can differ from measured ones.

Main lines, sorted by position (2θ from 10° to 90°):
two_theta, intensity, h k l
30.87, 187, 1 1 4
32.31, 1000, 2 1 3
34.96, 226, 2 0 4
36.28, 513, 3 1 0
42.08, 121, 2 1 5
52.24, 175, 4 2 0
53.97, 135, 0 0 8
56.76, 118, 3 3 4
66.79, 169, 3 1 8
67.68, 196, 4 4 0

Crystal structure
```
data_Tb5SbPd2
_space_group_name_H-M_alt 'I 4/m c m'
_space_group_IT_number 140
_space_group_name_Hall '-I 4 2c'
_cell_length_a 7.8299
_cell_length_b 7.8299
_cell_length_c 13.5967
_cell_angle_alpha 90.00
_cell_angle_beta 90.00
_cell_angle_gamma 90.00
loop_
_atom_site_label
_atom_site_fract_x
_atom_site_fract_y
_atom_site_fract_z
_atom_site_occupancy
Tb1 0.0000 0.0000 0.0000 1
Tb2 0.1566 0.3434 0.1424 1
Sb1 0.0000 0.0000 0.2500 1
Pd1 0.1365 0.3635 0.5000 1
```

Structure and theoretical powder XRD pattern of TbSb2Pd (the GGA-PBE geometry in the Materials Project; CuKα).
Peak positions follow from Bragg's law for the DFT cell and can differ from measured ones.

Main lines, sorted by position (2θ from 10° to 90°):
two_theta, intensity, h k l
27.34, 90, 1 0 2
33.96, 1000, 1 1 2
34.69, 139, 1 0 3
37.95, 93, 0 0 4
40.12, 420, 2 0 0
52.36, 109, 1 0 5
56.42, 123, 2 0 4
58.04, 140, 2 2 0
67.95, 99, 2 1 5
68.97, 250, 3 1 2

Crystal structure
```
data_TbSb2Pd
_space_group_name_H-M_alt 'P 4/n m m'
_space_group_IT_number 129
_cell_length_a 4.4949
_cell_length_b 4.4949
_cell_length_c 9.4830
_cell_angle_alpha 90.00
_cell_angle_beta 90.00
_cell_angle_gamma 90.00
loop_
_space_group_symop_operation_xyz
'x,y,z'
'-x,-y,-z'
'-y+1/2,x,z'
'y+1/2,-x,-z'
'-x+1/2,-y+1/2,z'
'x+1/2,y+1/2,-z'
'y,-x+1/2,z'
'-y,x+1/2,-z'
'x+1/2,-y,-z'
'-x+1/2,y,z'
'-y,-x,-z'
'y,x,z'
'-x,y+1/2,-z'
'x,-y+1/2,z'
'y+1/2,x+1/2,-z'
'-y+1/2,-x+1/2,z'
loop_
_atom_site_label
_atom_site_fract_x
_atom_site_fract_y
_atom_site_fract_z
_atom_site_occupancy
Tb1 0.2500 0.2500 0.2452 1
Sb1 0.2500 0.2500 0.8386 1
Sb2 0.2500 0.7500 0.5000 1
Pd1 0.2500 0.7500 0.0000 1
```

Structure and theoretical powder XRD pattern of TbSbPd (the GGA-PBE geometry in the Materials Project; CuKα).
Peak positions follow from Bragg's law for the DFT cell and can differ from measured ones.

Main lines, sorted by position (2θ from 10° to 90°):
two_theta, intensity, h k l
25.35, 135, 1 0 1
32.92, 1000, 1 0 2
39.15, 767, 1 1 0
42.92, 213, 1 0 3
52.05, 273, 2 0 2
64.37, 109, 1 1 4
67.04, 333, 2 1 2
70.95, 131, 3 0 0
73.55, 84, 2 1 3
84.15, 84, 2 2 0

Crystal structure
```
data_TbSbPd
_space_group_name_H-M_alt 'P 63 m c'
_space_group_IT_number 186
_space_group_name_Hall 'P 6c -2c'
_cell_length_a 4.6016
_cell_length_b 4.6016
_cell_length_c 7.4479
_cell_angle_alpha 90.00
_cell_angle_beta 90.00
_cell_angle_gamma 120.00
loop_
_atom_site_label
_atom_site_fract_x
_atom_site_fract_y
_atom_site_fract_z
_atom_site_occupancy
Tb1 0.0000 0.0000 0.0000 1
Sb1 0.3333 0.6667 0.2248 1
Pd1 0.3333 0.6667 0.8283 1
```

Structure and theoretical powder XRD pattern of TbSbPd (the GGA-PBE geometry in the Materials Project; CuKα).
Peak positions follow from Bragg's law for the DFT cell and can differ from measured ones.

Main lines, sorted by position (2θ from 10° to 90°):
two_theta, intensity, h k l
22.41, 30, 1 0 0
32.52, 1000, 1 0 2
39.33, 601, 1 1 0
47.57, 116, 0 0 4
51.93, 266, 2 0 2
63.37, 291, 1 1 4
67.04, 245, 2 1 2
71.31, 102, 3 0 0
78.90, 77, 1 0 6
84.61, 66, 2 2 0

Crystal structure
```
data_TbSbPd
_space_group_name_H-M_alt 'P 63/m m c'
_space_group_IT_number 194
_space_group_name_Hall '-P 6c 2c'
_cell_length_a 4.5815
_cell_length_b 4.5815
_cell_length_c 7.6459
_cell_angle_alpha 90.00
_cell_angle_beta 90.00
_cell_angle_gamma 120.00
loop_
_atom_site_label
_atom_site_fract_x
_atom_site_fract_y
_atom_site_fract_z
_atom_site_occupancy
Tb1 0.0000 0.0000 0.0000 1
Sb1 0.3333 0.6667 0.2500 1
Pd1 0.3333 0.6667 0.7500 1
```